Calculated X-ray powder pattern of Cs2PuCo2O6 for λ = 1.5418 Å (Cu Kα), from DFT lattice parameters and positions (PBE+U).
Neutral-atom scattering factors, no anomalous dispersion.

Main lines, by angle (10° ≤ 2θ ≤ 90°):
- 2θ = 17.43°, I = 29
- 2θ = 26.41°, I = 51
- 2θ = 29.07°, I = 100
- 2θ = 30.62°, I = 70
- 2θ = 39.68°, I = 31
- 2θ = 42.73°, I = 22
- 2θ = 49.94°, I = 18
- 2θ = 51.54°, I = 20
- 2θ = 52.52°, I = 32
- 2θ = 56.06°, I = 29

Cell and atoms:
abc: 6.8161 6.8161 6.8161
angles: 53.56 53.56 53.56
Positions (direct):
Cs 0.2246 0.2246 0.2246
Cs 0.7754 0.7754 0.7754
Pu 0.0000 0.0000 0.0000
Co 0.4244 0.4244 0.4244
Co 0.5756 0.5756 0.5756
O 0.2261 0.2261 0.7511
O 0.2261 0.7511 0.2261
O 0.2489 0.7739 0.7739
O 0.7511 0.2261 0.2261
O 0.7739 0.2489 0.7739
O 0.7739 0.7739 0.2489